This entry pairs a crystal structure of PaPd6Au2 with its theoretical X-ray powder pattern. Radiation: Cu Kα (weighted mean of Kα1 and Kα2). Structure: a cell relaxed with GGA-PBE.
Peak positions follow from Bragg's law for the DFT cell and can differ from measured ones.

Atomic structure:
```
data_PaPd6Au2
_chemical_formula_sum 'Pa2 Pd12 Au4'
_cell_length_a 11.5057
_cell_length_b 4.3202
_cell_length_c 8.4683
_cell_angle_alpha 90.00
_cell_angle_beta 132.72
_cell_angle_gamma 90.00
_space_group_name_H-M_alt 'C 1 2/m 1'
_space_group_IT_number 12
loop_
_space_group_symop_operation_xyz
'x,y,z'
'-x,-y,-z'
'-x,y,-z'
'x,-y,z'
'x+1/2,y+1/2,z'
'-x+1/2,-y+1/2,-z'
'-x+1/2,y+1/2,-z'
'x+1/2,-y+1/2,z'
loop_
_atom_site_label
_atom_site_fract_x
_atom_site_fract_y
_atom_site_fract_z
_atom_site_occupancy
Pa1 0.0000 0.0000 0.0000 1
Pd1 0.0051 0.0000 0.6773 1
Pd2 0.1644 0.5000 0.0002 1
Pd3 0.1721 0.5000 0.6772 1
Au1 0.1714 0.5000 0.3429 1
```

Main lines, low angle first (2θ from 15° to 90°):
2theta  I (rel.)
15.40  12
38.15  100
41.82  19
43.65  17
47.41  14
62.04  12
65.04  10
73.92  14
76.49  12
81.96  11

***

This entry pairs a crystal structure of PaPdPt2Au with its theoretical X-ray powder pattern. Radiation: Cu Kα (weighted mean of Kα1 and Kα2). Structure: a cell relaxed with GGA-PBE.
Peak positions follow from Bragg's law for the DFT cell and can differ from measured ones.

Atomic structure:
```
data_PaPdPt2Au
_chemical_formula_sum 'Pa4 Pd4 Pt8 Au4'
_cell_length_a 4.3083
_cell_length_b 10.7976
_cell_length_c 8.3173
_cell_angle_alpha 90.00
_cell_angle_beta 90.00
_cell_angle_gamma 90.00
_space_group_name_H-M_alt 'C m c m'
_space_group_IT_number 63
_space_group_name_Hall '-C 2c 2'
loop_
_atom_site_label
_atom_site_fract_x
_atom_site_fract_y
_atom_site_fract_z
_atom_site_occupancy
Pa1 0.0000 0.0386 0.2500 1
Pd1 0.0000 0.5000 0.0000 1
Pt1 0.0000 0.1738 0.5299 1
Au1 0.0000 0.3320 0.2500 1
```

Main lines, low angle first (2θ from 15° to 90°):
2theta  I (rel.)
22.22  11
24.69  13
34.95  18
39.15  100
39.54  24
41.94  25
43.52  18
55.69  11
62.03  13
74.74  15

***

This entry pairs a crystal structure of PaSbPdAu with its theoretical X-ray powder pattern. Radiation: Cu Kα (weighted mean of Kα1 and Kα2). Structure: a cell relaxed with GGA-PBE.
Peak positions follow from Bragg's law for the DFT cell and can differ from measured ones.

Atomic structure:
```
data_PaSbPdAu
_chemical_formula_sum 'Pa4 Sb4 Pd4 Au4'
_cell_length_a 7.0268
_cell_length_b 7.0268
_cell_length_c 7.0268
_cell_angle_alpha 90.00
_cell_angle_beta 90.00
_cell_angle_gamma 90.00
_space_group_name_H-M_alt 'F -4 3 m'
_space_group_IT_number 216
_space_group_name_Hall 'F -4 2 3'
loop_
_atom_site_label
_atom_site_fract_x
_atom_site_fract_y
_atom_site_fract_z
_atom_site_occupancy
Pa1 0.0000 0.0000 0.0000 1
Sb1 0.2500 0.2500 0.7500 1
Pd1 0.0000 0.0000 0.5000 1
Au1 0.2500 0.2500 0.2500 1
```

Main lines, low angle first (2θ from 15° to 90°):
2theta  I (rel.)
21.91  10
36.16  100
42.68  6
52.06  18
57.14  3
65.02  37
69.51  2
76.72  11
80.94  2
87.88  17

***

This entry pairs a crystal structure of PmPaRuAu with its theoretical X-ray powder pattern. Radiation: Cu Kα (weighted mean of Kα1 and Kα2). Structure: a cell relaxed with GGA-PBE.
Peak positions follow from Bragg's law for the DFT cell and can differ from measured ones.

Atomic structure:
```
data_PmPaRuAu
_chemical_formula_sum 'Pm4 Pa4 Ru4 Au4'
_cell_length_a 7.0977
_cell_length_b 7.0977
_cell_length_c 7.0977
_cell_angle_alpha 90.00
_cell_angle_beta 90.00
_cell_angle_gamma 90.00
_space_group_name_H-M_alt 'F -4 3 m'
_space_group_IT_number 216
_space_group_name_Hall 'F -4 2 3'
loop_
_atom_site_label
_atom_site_fract_x
_atom_site_fract_y
_atom_site_fract_z
_atom_site_occupancy
Pm1 0.0000 0.0000 0.0000 1
Pa1 0.0000 0.0000 0.5000 1
Ru1 0.2500 0.2500 0.2500 1
Au1 0.2500 0.2500 0.7500 1
```

Main lines, low angle first (2θ from 15° to 90°):
2theta  I (rel.)
21.69  7
35.78  100
42.23  4
51.50  18
56.52  2
64.30  37
68.72  2
75.82  12
79.97  2
86.78  17

***

This entry pairs a crystal structure of PaPtAu with its theoretical X-ray powder pattern. Radiation: Cu Kα (weighted mean of Kα1 and Kα2). Structure: a cell relaxed with GGA-PBE.
Peak positions follow from Bragg's law for the DFT cell and can differ from measured ones.

Atomic structure:
```
data_PaPtAu
_chemical_formula_sum 'Pa4 Pt4 Au4'
_cell_length_a 4.6876
_cell_length_b 6.3226
_cell_length_c 8.2131
_cell_angle_alpha 90.00
_cell_angle_beta 90.00
_cell_angle_gamma 90.00
_space_group_name_H-M_alt 'I m m m'
_space_group_IT_number 71
_space_group_name_Hall '-I 2 2'
loop_
_atom_site_label
_atom_site_fract_x
_atom_site_fract_y
_atom_site_fract_z
_atom_site_occupancy
Pa1 0.0000 0.2313 0.0000 1
Pt1 0.0000 0.5000 0.3336 1
Au1 0.0000 0.0000 0.3356 1
```

Main lines, low angle first (2θ from 15° to 90°):
2theta  I (rel.)
35.85  48
35.97  100
38.06  93
38.41  46
53.19  17
53.54  32
67.50  17
67.88  16
69.23  17
71.85  28

***

This entry pairs a crystal structure of Pu2PaAu2 with its theoretical X-ray powder pattern. Radiation: Cu Kα (weighted mean of Kα1 and Kα2). Structure: a cell relaxed with GGA-PBE.
Peak positions follow from Bragg's law for the DFT cell and can differ from measured ones.

Atomic structure:
```
data_Pu2PaAu2
_chemical_formula_sum 'Pu4 Pa2 Au4'
_cell_length_a 4.9524
_cell_length_b 7.2978
_cell_length_c 7.3668
_cell_angle_alpha 113.40
_cell_angle_beta 98.88
_cell_angle_gamma 103.70
_space_group_name_H-M_alt 'P -1'
_space_group_IT_number 2
loop_
_space_group_symop_operation_xyz
'x,y,z'
'-x,-y,-z'
loop_
_atom_site_label
_atom_site_fract_x
_atom_site_fract_y
_atom_site_fract_z
_atom_site_occupancy
Pu1 0.0819 0.0924 0.3774 1
Pu2 0.3660 0.8747 0.2078 1
Pa1 0.1130 0.2850 0.1313 1
Au1 0.2576 0.4133 0.8201 1
Au2 0.3072 0.6334 0.5699 1
```

Main lines, low angle first (2θ from 15° to 90°):
2theta  I (rel.)
24.52  20
34.86  90
35.76  100
36.10  66
36.76  71
37.34  46
39.03  21
40.79  24
49.00  28
58.38  19

***

This entry pairs a crystal structure of PuPaAu3 with its theoretical X-ray powder pattern. Radiation: Cu Kα (weighted mean of Kα1 and Kα2). Structure: a cell relaxed with GGA-PBE.
Peak positions follow from Bragg's law for the DFT cell and can differ from measured ones.

Atomic structure:
```
data_PuPaAu3
_chemical_formula_sum 'Pu4 Pa4 Au12'
_cell_length_a 3.2399
_cell_length_b 28.9441
_cell_length_c 4.7914
_cell_angle_alpha 90.00
_cell_angle_beta 90.00
_cell_angle_gamma 90.00
_space_group_name_H-M_alt 'C m c m'
_space_group_IT_number 63
_space_group_name_Hall '-C 2c 2'
loop_
_atom_site_label
_atom_site_fract_x
_atom_site_fract_y
_atom_site_fract_z
_atom_site_occupancy
Pu1 0.0000 0.0730 0.2500 1
Pa1 0.0000 0.2130 0.7500 1
Au1 0.0000 0.3241 0.7500 1
Au2 0.0000 0.3784 0.2500 1
Au3 0.0000 0.4752 0.2500 1
```

Main lines, low angle first (2θ from 15° to 90°):
2theta  I (rel.)
34.69  100
35.19  50
36.26  95
37.54  49
52.40  33
56.83  15
65.92  16
66.91  16
69.30  30
70.12  16

***

This entry pairs a crystal structure of RbPa2Au2Se6 with its theoretical X-ray powder pattern. Radiation: Cu Kα (weighted mean of Kα1 and Kα2). Structure: a cell relaxed with GGA-PBE.
Peak positions follow from Bragg's law for the DFT cell and can differ from measured ones.

Atomic structure:
```
data_RbPa2Au2Se6
_chemical_formula_sum 'Rb1 Pa2 Au2 Se6'
_cell_length_a 7.6033
_cell_length_b 7.7680
_cell_length_c 7.8200
_cell_angle_alpha 64.43
_cell_angle_beta 62.08
_cell_angle_gamma 60.83
_space_group_name_H-M_alt 'P -1'
_space_group_IT_number 2
loop_
_space_group_symop_operation_xyz
'x,y,z'
'-x,-y,-z'
loop_
_atom_site_label
_atom_site_fract_x
_atom_site_fract_y
_atom_site_fract_z
_atom_site_occupancy
Rb1 0.0000 0.0000 0.0000 1
Pa1 0.3389 0.3420 0.9748 1
Au1 0.4691 0.6733 0.5491 1
Se1 0.0678 0.6795 0.7728 1
Se2 0.2923 0.5514 0.2269 1
Se3 0.4810 0.0449 0.7725 1
```

Main lines, low angle first (2θ from 15° to 90°):
2theta  I (rel.)
23.40  27
26.00  26
26.76  31
27.39  100
34.63  49
35.45  55
36.25  22
40.76  40
41.40  40
48.08  29

***

This entry pairs a crystal structure of Pa2Sb3Au with its theoretical X-ray powder pattern. Radiation: Cu Kα (weighted mean of Kα1 and Kα2). Structure: a cell relaxed with GGA-PBE.
Peak positions follow from Bragg's law for the DFT cell and can differ from measured ones.

Atomic structure:
```
data_Pa2Sb3Au
_chemical_formula_sum 'Pa2 Sb3 Au1'
_cell_length_a 4.3062
_cell_length_b 4.3062
_cell_length_c 8.4724
_cell_angle_alpha 90.00
_cell_angle_beta 90.00
_cell_angle_gamma 90.00
_space_group_name_H-M_alt 'P -4 m 2'
_space_group_IT_number 115
loop_
_space_group_symop_operation_xyz
'x,y,z'
'y,-x,-z'
'-x,-y,z'
'-y,x,-z'
'-x,y,z'
'-y,-x,-z'
'x,-y,z'
'y,x,-z'
loop_
_atom_site_label
_atom_site_fract_x
_atom_site_fract_y
_atom_site_fract_z
_atom_site_occupancy
Pa1 0.0000 0.5000 0.2257 1
Sb1 0.0000 0.5000 0.8536 1
Sb2 0.5000 0.5000 0.5000 1
Au1 0.0000 0.0000 0.5000 1
```

Main lines, low angle first (2θ from 15° to 90°):
2theta  I (rel.)
23.17  32
31.21  65
31.68  30
36.34  100
38.11  33
41.96  52
53.52  27
57.96  20
70.20  19
72.98  27

***

This entry pairs a crystal structure of Pa2Sb2AuSe2 with its theoretical X-ray powder pattern. Radiation: Cu Kα (weighted mean of Kα1 and Kα2). Structure: a cell relaxed with GGA-PBE.
Peak positions follow from Bragg's law for the DFT cell and can differ from measured ones.

Atomic structure:
```
data_Pa2Sb2AuSe2
_chemical_formula_sum 'Pa2 Sb2 Au1 Se2'
_cell_length_a 4.6380
_cell_length_b 4.6380
_cell_length_c 12.4727
_cell_angle_alpha 90.00
_cell_angle_beta 90.00
_cell_angle_gamma 120.00
_space_group_name_H-M_alt 'P -3 m 1'
_space_group_IT_number 164
_space_group_name_Hall '-P 3 2"'
loop_
_atom_site_label
_atom_site_fract_x
_atom_site_fract_y
_atom_site_fract_z
_atom_site_occupancy
Pa1 0.3333 0.6667 0.1615 1
Sb1 0.0000 0.0000 0.2914 1
Au1 0.0000 0.0000 0.5000 1
Se1 0.3333 0.6667 0.9204 1
```

Main lines, low angle first (2θ from 15° to 90°):
2theta  I (rel.)
21.37  16
23.27  100
26.39  15
36.48  51
38.83  55
42.67  31
44.75  15
45.76  17
54.33  16
68.78  16

***

This entry pairs a crystal structure of Pa3Si2Au5 with its theoretical X-ray powder pattern. Radiation: Cu Kα (weighted mean of Kα1 and Kα2). Structure: a cell relaxed with GGA-PBE.
Peak positions follow from Bragg's law for the DFT cell and can differ from measured ones.

Atomic structure:
```
data_Pa3Si2Au5
_chemical_formula_sum 'Pa6 Si4 Au10'
_cell_length_a 6.0292
_cell_length_b 8.0516
_cell_length_c 8.5798
_cell_angle_alpha 97.24
_cell_angle_beta 98.12
_cell_angle_gamma 96.84
_space_group_name_H-M_alt 'P -1'
_space_group_IT_number 2
loop_
_space_group_symop_operation_xyz
'x,y,z'
'-x,-y,-z'
loop_
_atom_site_label
_atom_site_fract_x
_atom_site_fract_y
_atom_site_fract_z
_atom_site_occupancy
Pa1 0.0427 0.3338 0.3757 1
Pa2 0.2800 0.4540 0.0242 1
Pa3 0.4117 0.1625 0.1390 1
Si1 0.1147 0.7848 0.9800 1
Si2 0.3632 0.4829 0.6950 1
Au1 0.0508 0.6766 0.2802 1
Au2 0.0812 0.0178 0.8111 1
Au3 0.2398 0.0048 0.4841 1
Au4 0.4458 0.6940 0.5089 1
Au5 0.4911 0.8118 0.2058 1
```

Main lines, low angle first (2θ from 15° to 90°):
2theta  I (rel.)
28.66  19
33.15  32
34.19  100
35.29  98
35.52  87
37.20  34
37.49  81
40.44  77
40.62  23
41.17  51

***

This entry pairs a crystal structure of Pa3Si4Au2 with its theoretical X-ray powder pattern. Radiation: Cu Kα (weighted mean of Kα1 and Kα2). Structure: a cell relaxed with GGA-PBE.
Peak positions follow from Bragg's law for the DFT cell and can differ from measured ones.

Atomic structure:
```
data_Pa3Si4Au2
_chemical_formula_sum 'Pa6 Si8 Au4'
_cell_length_a 3.1379
_cell_length_b 10.0199
_cell_length_c 11.4120
_cell_angle_alpha 90.00
_cell_angle_beta 90.00
_cell_angle_gamma 90.00
_space_group_name_H-M_alt 'I m m m'
_space_group_IT_number 71
_space_group_name_Hall '-I 2 2'
loop_
_atom_site_label
_atom_site_fract_x
_atom_site_fract_y
_atom_site_fract_z
_atom_site_occupancy
Pa1 0.0000 0.0000 0.0000 1
Pa2 0.0000 0.5000 0.1687 1
Si1 0.0000 0.1962 0.1842 1
Au1 0.0000 0.1984 0.5000 1
```

Main lines, low angle first (2θ from 15° to 90°):
2theta  I (rel.)
15.53  21
25.04  42
33.80  48
34.63  75
35.79  100
37.14  32
43.83  23
52.86  23
56.85  22
70.84  28